Diffraction record for Pr12Zn6Rh. The powder X-ray diffraction pattern is computed, not measured: it uses the GGA-PBE geometry in Alexandria and Cu Kα.
Kinematic intensities with the Lorentz-polarization factor, no thermal factor.

Most intense lines, 10° ≤ 2θ ≤ 90°, most intense first:
2θ = 31.41°, rel. 100; 2θ = 35.74°, rel. 80; 2θ = 27.86°, rel. 58; 2θ = 33.51°, rel. 47; 2θ = 34.96°, rel. 41; 2θ = 23.36°, rel. 30

Lattice parameters (Å, degrees): 8.317 8.317 8.317 93.67 93.67 93.67
Positions (direct):
1 Pr 0.044 0.929 0.695
2 Pr 0.071 0.305 0.956
3 Pr 0.176 0.414 0.535
4 Pr 0.305 0.956 0.071
5 Pr 0.414 0.535 0.176
6 Pr 0.465 0.824 0.586
7 Pr 0.535 0.176 0.414
8 Pr 0.586 0.465 0.824
9 Pr 0.695 0.044 0.929
10 Pr 0.824 0.586 0.465
11 Pr 0.929 0.695 0.044
12 Pr 0.956 0.071 0.305
13 Zn 0.157 0.760 0.352
14 Zn 0.240 0.648 0.843
15 Zn 0.352 0.157 0.760
16 Zn 0.648 0.843 0.240
17 Zn 0.760 0.352 0.157
18 Zn 0.843 0.240 0.648
19 Rh 0.500 0.500 0.500